This entry pairs a crystal structure of Na4Tl4Pb3 with its calculated X-ray powder pattern. Radiation: a wavelength of 1.5418 Å. Structure: a structure optimized by DFT (GGA-PBE).
Neutral-atom scattering factors, no anomalous dispersion.

Principal peaks in the range 2θ from 15° to 90°, low angle first:
- 2θ 18.64, I = 28.1
- 2θ 20.04, I = 41.3
- 2θ 26.00, I = 22.4
- 2θ 31.45, I = 100.0
- 2θ 32.04, I = 94.3
- 2θ 36.11, I = 34.5
- 2θ 36.28, I = 34.0
- 2θ 38.06, I = 30.2
- 2θ 53.46, I = 23.1
- 2θ 53.59, I = 22.9

Cell and atoms:
```
data_Na4Tl4Pb3
_chemical_formula_sum 'Na4 Tl4 Pb3'
_space_group_name_H-M_alt 'P -1'
_space_group_IT_number 2
_space_group_name_Hall '-P 1'
_cell_length_a 3.560
_cell_length_b 4.729
_cell_length_c 19.261
_cell_angle_alpha 97.02
_cell_angle_beta 95.04
_cell_angle_gamma 90.00
loop_
_atom_site_label
_atom_site_type_symbol
_atom_site_fract_x
_atom_site_fract_y
_atom_site_fract_z
Na1 Na 0.045 0.046 0.090
Na2 Na 0.319 0.319 0.637
Tl1 Tl 0.228 0.227 0.455
Tl2 Tl 0.408 0.408 0.819
Pb1 Pb 0.133 0.134 0.267
Pb2 Pb 0.500 0.500 0.000
```

=====

This entry pairs a crystal structure of Na2Tl5Pb4 with its calculated X-ray powder pattern. Radiation: a wavelength of 1.5418 Å. Structure: a structure optimized by DFT (GGA-PBE).
Neutral-atom scattering factors, no anomalous dispersion.

Principal peaks in the range 2θ from 15° to 90°, low angle first:
- 2θ 18.97, I = 49.8
- 2θ 19.30, I = 15.1
- 2θ 32.96, I = 100.0
- 2θ 33.11, I = 94.6
- 2θ 34.89, I = 18.4
- 2θ 47.42, I = 35.3
- 2θ 58.92, I = 56.8
- 2θ 59.24, I = 16.2
- 2θ 78.83, I = 16.4
- 2θ 79.08, I = 14.3

Cell and atoms:
```
data_Na2Tl5Pb4
_chemical_formula_sum 'Na6 Tl15 Pb12'
_space_group_name_H-M_alt 'R -3 m'
_space_group_IT_number 166
_space_group_name_Hall '-R 3 2"'
_cell_length_a 5.4350
_cell_length_b 5.4350
_cell_length_c 42.9822
_cell_angle_alpha 90.00
_cell_angle_beta 90.00
_cell_angle_gamma 120.00
loop_
_atom_site_label
_atom_site_type_symbol
_atom_site_fract_x
_atom_site_fract_y
_atom_site_fract_z
Na1 Na 0.0000 0.0000 0.1085
Tl1 Tl 0.0000 0.0000 0.1931
Tl2 Tl 0.0000 0.0000 0.3500
Tl3 Tl 0.0000 0.0000 0.5000
Pb1 Pb 0.0000 0.0000 0.2722
Pb2 Pb 0.0000 0.0000 0.4224
```

=====

This entry pairs a crystal structure of NaTl2Pb with its calculated X-ray powder pattern. Radiation: a wavelength of 1.5418 Å. Structure: a structure optimized by DFT (GGA-PBE).
Neutral-atom scattering factors, no anomalous dispersion.

Principal peaks in the range 2θ from 15° to 90°, low angle first:
- 2θ 22.88, I = 8.7
- 2θ 25.56, I = 18.3
- 2θ 32.37, I = 100.0
- 2θ 32.59, I = 49.4
- 2θ 46.10, I = 9.4
- 2θ 46.75, I = 18.4
- 2θ 57.59, I = 19.5
- 2θ 58.01, I = 38.9
- 2θ 67.76, I = 12.0
- 2θ 77.71, I = 8.5

Cell and atoms:
```
data_NaTl2Pb
_chemical_formula_sum 'Na1 Tl2 Pb1'
_space_group_name_H-M_alt 'P 4/m m m'
_space_group_IT_number 123
_space_group_name_Hall '-P 4 2'
_cell_length_a 3.886
_cell_length_b 3.886
_cell_length_c 7.875
_cell_angle_alpha 90.00
_cell_angle_beta 90.00
_cell_angle_gamma 90.00
loop_
_atom_site_label
_atom_site_type_symbol
_atom_site_fract_x
_atom_site_fract_y
_atom_site_fract_z
Na1 Na 0.000 0.000 0.000
Tl1 Tl 0.500 0.500 0.242
Pb1 Pb 0.000 0.000 0.500
```

=====

This entry pairs a crystal structure of Na4Tl9Pb2 with its calculated X-ray powder pattern. Radiation: a wavelength of 1.5418 Å. Structure: a structure optimized by DFT (GGA-PBE).
Neutral-atom scattering factors, no anomalous dispersion.

Principal peaks in the range 2θ from 15° to 90°, low angle first:
- 2θ 18.62, I = 4.3
- 2θ 19.36, I = 15.8
- 2θ 32.53, I = 100.0
- 2θ 46.67, I = 18.7
- 2θ 58.03, I = 32.8
- 2θ 58.09, I = 6.7
- 2θ 68.09, I = 6.2
- 2θ 68.18, I = 6.1
- 2θ 77.53, I = 11.5
- 2θ 77.61, I = 5.7

Cell and atoms:
```
data_Na4Tl9Pb2
_chemical_formula_sum 'Na8 Tl18 Pb4'
_space_group_name_H-M_alt 'C 1 2/m 1'
_space_group_IT_number 12
_space_group_name_Hall '-C 2y'
_cell_length_a 9.531
_cell_length_b 5.500
_cell_length_c 16.874
_cell_angle_alpha 90.00
_cell_angle_beta 90.04
_cell_angle_gamma 90.00
loop_
_atom_site_label
_atom_site_type_symbol
_atom_site_fract_x
_atom_site_fract_y
_atom_site_fract_z
Na1 Na 0.167 0.000 0.133
Na2 Na 0.167 0.000 0.336
Tl1 Tl 0.000 0.500 0.000
Tl2 Tl 0.000 0.500 0.200
Tl3 Tl 0.000 0.500 0.397
Tl4 Tl 0.167 0.000 0.533
Tl5 Tl 0.167 0.000 0.936
Pb1 Pb 0.167 0.000 0.737
```

=====

This entry pairs a crystal structure of Na5Tl5Pb2 with its calculated X-ray powder pattern. Radiation: a wavelength of 1.5418 Å. Structure: a structure optimized by DFT (GGA-PBE).
Neutral-atom scattering factors, no anomalous dispersion.

Principal peaks in the range 2θ from 15° to 90°, low angle first:
- 2θ 19.12, I = 62.3
- 2θ 19.54, I = 29.0
- 2θ 31.79, I = 100.0
- 2θ 31.91, I = 98.6
- 2θ 36.04, I = 36.2
- 2θ 36.43, I = 34.6
- 2θ 38.33, I = 30.0
- 2θ 52.18, I = 25.5
- 2θ 53.62, I = 24.4
- 2θ 62.19, I = 30.0

Cell and atoms:
```
data_Na5Tl5Pb2
_chemical_formula_sum 'Na10 Tl10 Pb4'
_space_group_name_H-M_alt 'C 1 2/m 1'
_space_group_IT_number 12
_space_group_name_Hall '-C 2y'
_cell_length_a 14.090
_cell_length_b 4.984
_cell_length_c 10.904
_cell_angle_alpha 90.00
_cell_angle_beta 115.21
_cell_angle_gamma 90.00
loop_
_atom_site_label
_atom_site_type_symbol
_atom_site_fract_x
_atom_site_fract_y
_atom_site_fract_z
Na1 Na 0.000 0.000 0.000
Na2 Na 0.088 0.000 0.754
Na3 Na 0.162 0.000 0.495
Tl1 Tl 0.000 0.500 0.500
Tl2 Tl 0.164 0.500 0.995
Tl3 Tl 0.248 0.000 0.257
Pb1 Pb 0.090 0.500 0.251
```

=====

This entry pairs a crystal structure of NaTl4Pb5 with its calculated X-ray powder pattern. Radiation: a wavelength of 1.5418 Å. Structure: a structure optimized by DFT (GGA-PBE).
Neutral-atom scattering factors, no anomalous dispersion.

Principal peaks in the range 2θ from 15° to 90°, low angle first:
- 2θ 31.22, I = 100.0
- 2θ 33.59, I = 19.9
- 2θ 37.45, I = 31.4
- 2θ 51.17, I = 24.8
- 2θ 54.00, I = 11.1
- 2θ 58.58, I = 15.6
- 2θ 63.70, I = 27.0
- 2θ 65.11, I = 12.2
- 2θ 83.73, I = 11.8
- 2θ 88.23, I = 5.9

Cell and atoms:
```
data_NaTl4Pb5
_chemical_formula_sum 'Na1 Tl4 Pb5'
_space_group_name_H-M_alt 'P 4/m m m'
_space_group_IT_number 123
_space_group_name_Hall '-P 4 2'
_cell_length_a 3.396
_cell_length_b 3.396
_cell_length_c 26.684
_cell_angle_alpha 90.00
_cell_angle_beta 90.00
_cell_angle_gamma 90.00
loop_
_atom_site_label
_atom_site_type_symbol
_atom_site_fract_x
_atom_site_fract_y
_atom_site_fract_z
Na1 Na 0.000 0.000 0.000
Tl1 Tl 0.000 0.000 0.195
Tl2 Tl 0.000 0.000 0.398
Pb1 Pb 0.500 0.500 0.095
Pb2 Pb 0.500 0.500 0.297
Pb3 Pb 0.500 0.500 0.500
```

=====

Copy entry 5 word for word.
This entry pairs a crystal structure of Na5Tl5Pb2 with its calculated X-ray powder pattern. Radiation: a wavelength of 1.5418 Å. Structure: a structure optimized by DFT (GGA-PBE).
Neutral-atom scattering factors, no anomalous dispersion.

Principal peaks in the range 2θ from 15° to 90°, low angle first:
- 2θ 19.12, I = 62.3
- 2θ 19.54, I = 29.0
- 2θ 31.79, I = 100.0
- 2θ 31.91, I = 98.6
- 2θ 36.04, I = 36.2
- 2θ 36.43, I = 34.6
- 2θ 38.33, I = 30.0
- 2θ 52.18, I = 25.5
- 2θ 53.62, I = 24.4
- 2θ 62.19, I = 30.0

Cell and atoms:
```
data_Na5Tl5Pb2
_chemical_formula_sum 'Na10 Tl10 Pb4'
_space_group_name_H-M_alt 'C 1 2/m 1'
_space_group_IT_number 12
_space_group_name_Hall '-C 2y'
_cell_length_a 14.090
_cell_length_b 4.984
_cell_length_c 10.904
_cell_angle_alpha 90.00
_cell_angle_beta 115.21
_cell_angle_gamma 90.00
loop_
_atom_site_label
_atom_site_type_symbol
_atom_site_fract_x
_atom_site_fract_y
_atom_site_fract_z
Na1 Na 0.000 0.000 0.000
Na2 Na 0.088 0.000 0.754
Na3 Na 0.162 0.000 0.495
Tl1 Tl 0.000 0.500 0.500
Tl2 Tl 0.164 0.500 0.995
Tl3 Tl 0.248 0.000 0.257
Pb1 Pb 0.090 0.500 0.251
```